This entry pairs a crystal structure of Al2SnCl6O with its theoretical powder diffraction line list. Radiation: Cu Kα, 1.54184 Å. Structure: a cell relaxed with PBE.
Neutral-atom scattering factors, no anomalous dispersion.

Structural model:
Lattice parameters (Å, degrees): 9.578 12.629 12.827 90.00 131.39 90.00
Element x y z (fractional)
Al: 0.047 0.007 0.423
Al: 0.047 0.493 0.923
Al: 0.365 0.608 0.225
Al: 0.365 0.892 0.725
Al: 0.635 0.108 0.275
Al: 0.635 0.392 0.775
Al: 0.953 0.507 0.077
Al: 0.953 0.993 0.577
Sn: 0.220 0.523 0.704
Sn: 0.220 0.977 0.204
Sn: 0.780 0.023 0.796
Sn: 0.780 0.477 0.296
Cl: 0.011 0.134 0.032
Cl: 0.011 0.366 0.532
Cl: 0.050 0.097 0.745
Cl: 0.050 0.403 0.245
Cl: 0.227 0.122 0.446
Cl: 0.227 0.378 0.946
Cl: 0.327 0.723 0.327
Cl: 0.327 0.777 0.827
Cl: 0.443 0.518 0.631
Cl: 0.443 0.982 0.131
Cl: 0.485 0.667 0.143
Cl: 0.485 0.833 0.643
Cl: 0.515 0.167 0.357
Cl: 0.515 0.333 0.857
Cl: 0.557 0.018 0.869
Cl: 0.557 0.482 0.369
Cl: 0.673 0.223 0.173
Cl: 0.673 0.277 0.673
Cl: 0.773 0.622 0.054
Cl: 0.773 0.878 0.554
Cl: 0.950 0.597 0.755
Cl: 0.950 0.903 0.255
Cl: 0.989 0.634 0.468
Cl: 0.989 0.866 0.968
O: 0.143 0.551 0.088
O: 0.143 0.949 0.588
O: 0.857 0.051 0.412
O: 0.857 0.449 0.912

Main lines, most intense first (15° ≤ 2θ ≤ 90°):
hkl, two_theta, d [Å], I (rel.)
1 3 1, 29.03, 3.076, 1000
1 1 1, 20.94, 4.243, 341
2 0 -2, 18.68, 4.751, 298
1 2 -2, 19.73, 4.499, 234
0 0 2, 18.44, 4.812, 215
1 2 1, 24.27, 3.667, 214